For ZnHgAu, a cell relaxed with PBE gives the computed powder diffraction line list in this record (Cu Kα).
Intensities are scaled so that the largest is 1000.

Structure:
a = 4.481 Å, b = 4.481 Å, c = 3.497 Å
α = 90.00°, β = 90.00°, γ = 120.00°
Positions (direct):
1 Zn 0.000 0.000 0.000
2 Hg 0.333 0.667 0.508
3 Au 0.667 0.333 0.015

Top 10 peaks for 10 to 80 degrees two-theta, low angle first:
Position (°2θ)  I/Imax
22.9  177
34.5  1000
40.3  586
46.8  29
52.3  91
54.1  283
57.8  33
68.0  250
69.5  270
73.2  102

---

For GaHg3I9, a cell relaxed with PBE gives the computed powder diffraction line list in this record (Cu Kα).
Intensities are scaled so that the largest is 1000.

Structure:
a = 11.706 Å, b = 11.706 Å, c = 15.105 Å
α = 122.79°, β = 122.79°, γ = 56.11°
Positions (direct):
1 Ga 0.043 0.957 0.500
2 Ga 0.957 0.043 0.000
3 Hg 0.161 0.498 0.219
4 Hg 0.498 0.161 0.719
5 Hg 0.529 0.552 0.783
6 Hg 0.552 0.529 0.283
7 Hg 0.693 0.842 0.424
8 Hg 0.842 0.693 0.924
9 I 0.005 0.201 0.513
10 I 0.063 0.939 0.668
11 I 0.067 0.409 0.287
12 I 0.135 0.530 0.037
13 I 0.201 0.005 0.013
14 I 0.263 0.750 0.427
15 I 0.313 0.507 0.762
16 I 0.409 0.067 0.787
17 I 0.461 0.737 0.204
18 I 0.507 0.313 0.262
19 I 0.530 0.135 0.537
20 I 0.604 0.803 0.984
21 I 0.737 0.461 0.704
22 I 0.750 0.263 0.927
23 I 0.803 0.604 0.484
24 I 0.808 0.894 0.328
25 I 0.894 0.808 0.828
26 I 0.939 0.063 0.168

Top 10 peaks for 10 to 80 degrees two-theta, low angle first:
Position (°2θ)  I/Imax
14.7  1000
15.4  169
17.7  301
23.2  452
24.1  179
24.9  187
25.0  329
28.4  173
29.4  371
34.4  246